This entry pairs a crystal structure of K2MgCo2O4 with its calculated XRD peak list. Radiation: Cu Kα (λ = 1.5418 Å). Structure: a DFT-relaxed cell (PBE+U, the Materials Project).
Peak positions follow from Bragg's law for the DFT cell and can differ from measured ones.

Crystal structure
```
data_K2MgCo2O4
_chemical_formula_sum 'K2 Mg1 Co2 O4'
_space_group_name_H-M_alt 'P 1'
_space_group_IT_number 1
_space_group_name_Hall 'P 1'
_cell_length_a 5.6124
_cell_length_b 5.8475
_cell_length_c 5.8588
_cell_angle_alpha 84.12
_cell_angle_beta 65.51
_cell_angle_gamma 62.81
loop_
_atom_site_label
_atom_site_fract_x
_atom_site_fract_y
_atom_site_fract_z
K1 0.0000 0.0000 0.0000
K2 0.4360 0.3409 0.7514
Mg1 0.7864 0.6935 0.5372
Co1 0.2397 0.2350 0.3465
Co2 0.5408 0.6446 0.2167
O1 0.2107 0.5717 0.4271
O2 0.5401 0.9536 0.3829
O3 0.5614 0.7013 0.8894
O4 0.8868 0.3862 0.3107
```

Main lines, by angle (10° ≤ 2θ ≤ 80°):
d/Å, Rel. int.
5.301, 698
4.541, 274
3.026, 1000
2.865, 672
2.830, 521
2.798, 389
2.703, 737
2.428, 311
2.262, 244
1.831, 379